1.
Diffraction record for Y3Ga5Pt6. The powder diffractogram is theoretical, not measured: it uses a structure optimized by DFT (GGA-PBE) and copper Kα.
Intensities are scaled so that the largest is 1000.

Crystal structure
Cell: 4.3104 13.2771 8.9962 Å, 90.00 90.00 90.00°
Space group Pmmn (No. 59, origin choice 2)
Symmetry-distinct sites (fractional):
Y1 0.2500 0.0605 0.2437 [4 per cell]
Y2 0.2500 0.7500 0.2393 [2 per cell]
Ga1 0.2500 0.0773 0.8844 [4 per cell]
Ga2 0.2500 0.6264 0.5243 [4 per cell]
Ga3 0.2500 0.7500 0.7695 [2 per cell]
Pt1 0.2500 0.0618 0.6053 [4 per cell]
Pt2 0.2500 0.2500 0.0221 [2 per cell]
Pt3 0.2500 0.2500 0.4352 [2 per cell]
Pt4 0.2500 0.6138 0.9765 [4 per cell]

The 10 most intense peaks (10° ≤ 2θ ≤ 80°), most intense first:
hkl 1 3 2, 2θ 35.3, d = 2.546 Å, intensity 1000; hkl 2 0 0, 2θ 41.9, d = 2.155 Å, intensity 627; hkl 1 5 0, 2θ 39.9, d = 2.261 Å, intensity 498; hkl 1 2 3, 2θ 39.0, d = 2.308 Å, intensity 427; hkl 0 0 2, 2θ 19.7, d = 4.498 Å, intensity 405; hkl 0 6 0, 2θ 40.8, d = 2.213 Å, intensity 281; hkl 0 3 3, 2θ 36.2, d = 2.483 Å, intensity 257; hkl 1 3 1, 2θ 30.6, d = 2.921 Å, intensity 257; hkl 1 5 2, 2θ 44.9, d = 2.020 Å, intensity 253; hkl 1 0 3, 2θ 36.5, d = 2.462 Å, intensity 212

2.
Diffraction record for Y3GaPt2. The powder diffractogram is theoretical, not measured: it uses a structure optimized by DFT (GGA-PBE) and copper Kα.
Intensities are scaled so that the largest is 1000.

Crystal structure
Cell: 11.6828 4.2727 11.2301 Å, 90.00 90.00 90.00°
Space group Pnma (No. 62)
Symmetry-distinct sites (fractional):
Y1 0.0481 0.2500 0.1247 [4 per cell]
Y2 0.1224 0.7500 0.5734 [4 per cell]
Y3 0.2028 0.2500 0.8184 [4 per cell]
Ga1 0.1300 0.2500 0.3754 [4 per cell]
Pt1 0.0135 0.7500 0.3144 [4 per cell]
Pt2 0.1805 0.7500 0.9977 [4 per cell]

The 10 most intense peaks (10° ≤ 2θ ≤ 80°), most intense first:
hkl 3 1 2, 2θ 35.0, d = 2.561 Å, intensity 1000; hkl 1 1 3, 2θ 32.7, d = 2.736 Å, intensity 712; hkl 0 2 0, 2θ 42.3, d = 2.136 Å, intensity 666; hkl 3 0 5, 2θ 46.7, d = 1.946 Å, intensity 643; hkl 2 1 2, 2θ 30.4, d = 2.939 Å, intensity 554; hkl 2 0 2, 2θ 22.0, d = 4.048 Å, intensity 552; hkl 0 1 3, 2θ 31.8, d = 2.816 Å, intensity 520; hkl 3 2 5, 2θ 64.8, d = 1.439 Å, intensity 482; hkl 4 1 1, 2θ 38.2, d = 2.357 Å, intensity 477; hkl 4 1 2, 2θ 40.7, d = 2.216 Å, intensity 453

3.
Diffraction record for YGa6Pt4. The powder diffractogram is theoretical, not measured: it uses a structure optimized by DFT (GGA-PBE) and copper Kα.
Intensities are scaled so that the largest is 1000.

Crystal structure
Cell: 7.6362 7.6362 3.7824 Å, 90.00 90.00 120.00°
Space group P-6m2 (No. 187)
Symmetry-distinct sites (fractional):
Y1 0.0000 0.0000 0.0000 [1 per cell]
Ga1 0.1926 0.3852 0.5000 [3 per cell]
Ga2 0.5295 0.0591 0.0000 [3 per cell]
Pt1 0.3333 0.6667 0.0000 [1 per cell]
Pt2 0.3938 0.1969 0.5000 [3 per cell]

The 10 most intense peaks (10° ≤ 2θ ≤ 80°), most intense first:
hkl 2 1 1, 2θ 43.4, d = 2.085 Å, intensity 1000; hkl 2 0 1, 2θ 36.1, d = 2.489 Å, intensity 866; hkl 1 1 1, 2θ 33.3, d = 2.687 Å, intensity 616; hkl 2 0 0, 2θ 27.0, d = 3.307 Å, intensity 605; hkl 2 2 0, 2θ 47.6, d = 1.909 Å, intensity 560; hkl 3 0 1, 2θ 47.8, d = 1.905 Å, intensity 556; hkl 2 1 0, 2θ 35.9, d = 2.500 Å, intensity 525; hkl 1 0 1, 2θ 27.2, d = 3.283 Å, intensity 434; hkl 0 0 2, 2θ 48.1, d = 1.891 Å, intensity 355; hkl 2 2 2, 2θ 70.0, d = 1.344 Å, intensity 351

4.
Diffraction record for Y6Ga2Pt. The powder diffractogram is theoretical, not measured: it uses a structure optimized by DFT (GGA-PBE) and copper Kα.
Intensities are scaled so that the largest is 1000.

Crystal structure
Cell: 6.1871 8.2410 11.2418 Å, 90.00 120.47 90.00°
Space group P2_1/c (No. 14)
Symmetry-distinct sites (fractional):
Y1 0.0732 0.1726 0.4403 [4 per cell]
Y2 0.3225 0.6800 0.4400 [4 per cell]
Y3 0.3909 0.0347 0.2664 [4 per cell]
Ga1 0.1818 0.1242 0.7512 [4 per cell]
Pt1 0.0000 0.0000 0.0000 [2 per cell]

The 10 most intense peaks (10° ≤ 2θ ≤ 80°), most intense first:
hkl 1 3 -1, 2θ 35.8, d = 2.510 Å, intensity 1000; hkl 2 1 -3, 2θ 32.7, d = 2.737 Å, intensity 855; hkl 1 2 -2, 2θ 27.8, d = 3.204 Å, intensity 642; hkl 0 1 1, 2θ 14.1, d = 6.278 Å, intensity 634; hkl 1 1 2, 2θ 32.5, d = 2.758 Å, intensity 528; hkl 1 0 2, 2θ 30.6, d = 2.923 Å, intensity 509; hkl 0 0 4, 2θ 37.1, d = 2.421 Å, intensity 415; hkl 2 3 1, 2θ 52.0, d = 1.760 Å, intensity 375; hkl 1 1 -4, 2θ 33.8, d = 2.656 Å, intensity 332; hkl 1 0 0, 2θ 16.6, d = 5.333 Å, intensity 301

5.
Diffraction record for YGaPt. The powder diffractogram is theoretical, not measured: it uses a structure optimized by DFT (GGA-PBE) and copper Kα.
Intensities are scaled so that the largest is 1000.

Crystal structure
Cell: 3.4255 3.4255 10.1349 Å, 90.00 90.00 90.00°
Space group I4mm (No. 107)
Symmetry-distinct sites (fractional):
Y1 0.0000 0.0000 0.0000 [2 per cell]
Ga1 0.0000 0.0000 0.6966 [2 per cell]
Pt1 0.0000 0.0000 0.3144 [2 per cell]

The 10 most intense peaks (10° ≤ 2θ ≤ 80°), most intense first:
hkl 1 0 3, 2θ 37.4, d = 2.405 Å, intensity 1000; hkl 1 1 0, 2θ 37.1, d = 2.422 Å, intensity 581; hkl 2 1 3, 2θ 67.1, d = 1.395 Å, intensity 357; hkl 0 0 2, 2θ 17.5, d = 5.067 Å, intensity 262; hkl 1 0 1, 2θ 27.5, d = 3.245 Å, intensity 227; hkl 2 0 0, 2θ 53.5, d = 1.713 Å, intensity 202; hkl 1 1 2, 2θ 41.3, d = 2.185 Å, intensity 128; hkl 1 1 6, 2θ 67.6, d = 1.386 Å, intensity 118; hkl 1 0 5, 2θ 52.5, d = 1.744 Å, intensity 104; hkl 1 1 4, 2θ 52.2, d = 1.751 Å, intensity 83

6.
Diffraction record for YGa6Pt. The powder diffractogram is theoretical, not measured: it uses a structure optimized by DFT (GGA-PBE) and copper Kα.
Intensities are scaled so that the largest is 1000.

Crystal structure
Cell: 4.2542 4.2542 8.3862 Å, 90.00 90.00 90.00°
Space group P4/mmm (No. 123)
Symmetry-distinct sites (fractional):
Y1 0.0000 0.0000 0.0000 [1 per cell]
Ga1 0.0000 0.5000 0.3257 [4 per cell]
Ga2 0.5000 0.5000 0.1434 [2 per cell]
Pt1 0.0000 0.0000 0.5000 [1 per cell]

The 10 most intense peaks (10° ≤ 2θ ≤ 80°), most intense first:
hkl 1 1 2, 2θ 36.8, d = 2.444 Å, intensity 1000; hkl 2 0 0, 2θ 42.5, d = 2.127 Å, intensity 990; hkl 1 0 2, 2θ 29.9, d = 2.986 Å, intensity 984; hkl 1 1 3, 2θ 44.2, d = 2.048 Å, intensity 934; hkl 1 0 1, 2θ 23.4, d = 3.794 Å, intensity 654; hkl 0 0 1, 2θ 10.5, d = 8.386 Å, intensity 531; hkl 1 0 4, 2θ 48.4, d = 1.881 Å, intensity 444; hkl 2 1 2, 2θ 52.8, d = 1.733 Å, intensity 400; hkl 2 1 4, 2θ 66.3, d = 1.409 Å, intensity 341; hkl 3 1 3, 2θ 79.0, d = 1.212 Å, intensity 330

Question: Which formula does entry 2 have?
Answer: Y3GaPt2